Starting from DFT lattice parameters and positions (GGA-PBE), the X-ray diffraction stick pattern of Ce2Mg3Cd3 was calculated for a wavelength of 1.5418 Å.

Peak list (10 most intense, 2θ from 5° to 70°, by intensity)
34.6 deg, I = 100
62.0 deg, I = 35
21.0 deg, I = 28
49.7 deg, I = 17
40.8 deg, I = 15
54.5 deg, I = 6
66.2 deg, I = 5
10.4 deg, I = 4
20.1 deg, I = 4
26.5 deg, I = 2

Cell and atoms:
Lattice parameters (Å, degrees): 5.1870 5.1870 25.4222 90.00 90.00 120.00
Space group R3m (No. 160, hexagonal axes)
Unique sites:
1 Ce 0.0000 0.0000 0.0000
2 Ce 0.0000 0.0000 0.4965
3 Mg 0.0000 0.0000 0.2493
4 Mg 0.0000 0.0000 0.7476
5 Mg 0.0000 0.0000 0.8736
6 Cd 0.0000 0.0000 0.1261
7 Cd 0.0000 0.0000 0.3727
8 Cd 0.0000 0.0000 0.6206

Starting from DFT lattice parameters and positions (GGA-PBE), the X-ray diffraction stick pattern of Ce3Mg2ZnCd3 was calculated for a wavelength of 1.5418 Å.

Peak list (10 most intense, 2θ from 5° to 70°, by intensity)
35.6 deg, I = 100
34.2 deg, I = 74
30.1 deg, I = 41
19.6 deg, I = 32
59.6 deg, I = 26
37.4 deg, I = 25
50.2 deg, I = 20
11.3 deg, I = 13
42.6 deg, I = 12
62.2 deg, I = 12

Cell and atoms:
Lattice parameters (Å, degrees): 9.0724 9.0724 3.0372 90.00 90.00 120.00
Space group P-62m (No. 189)
Unique sites:
1 Ce 0.0000 0.2827 0.0000
2 Mg 0.3333 0.6667 0.0000
3 Zn 0.0000 0.0000 0.5000
4 Cd 0.0000 0.6251 0.5000